(1)
KNiAgTe2Se: simulated X-ray diffraction stick pattern (Cu Kα), based on a structure optimized by DFT (PBE).
Peak positions follow from Bragg's law for the DFT cell and can differ from measured ones.

Cell and atoms:
```
KNiAgTe2Se
1.0
1.9427 -7.6236 0.0000
1.9427 7.6236 0.0000
0.0000 0.0000 10.7604
K Ni Ag Te Se
2 2 2 4 2
Direct
0.2462 0.7538 0.7500
0.7538 0.2462 0.2500
0.0000 0.0000 0.0000
0.0000 0.0000 0.5000
0.4491 0.5509 0.2500
0.5509 0.4491 0.7500
0.3871 0.6129 0.0127
0.3871 0.6129 0.4873
0.6129 0.3871 0.5127
0.6129 0.3871 0.9873
0.0677 0.9323 0.2500
0.9323 0.0677 0.7500
```

Largest 6 diffraction maxima, sorted by position, 2θ from 5° to 70°:
| Position (°2θ) | d [Å] | I_rel |
| --- | --- | --- |
| 11.6 | 7.624 | 100.0 |
| 28.7 | 3.110 | 31.0 |
| 30.1 | 2.967 | 52.8 |
| 33.3 | 2.690 | 55.9 |
| 33.5 | 2.677 | 44.3 |
| 41.2 | 2.191 | 54.9 |

(2)
Dy3Mg3CdGa2: simulated X-ray diffraction stick pattern (Cu Kα), based on a structure optimized by DFT (PBE).
Peak positions follow from Bragg's law for the DFT cell and can differ from measured ones.

Cell and atoms:
```
Dy3Mg3CdGa2
1.0
7.3811 0.0000 0.0000
-3.6905 6.3922 0.0000
0.0000 0.0000 4.4395
Dy Mg Cd Ga
3 3 1 2
Direct
0.0000 0.5700 0.0000
0.4300 0.4300 0.0000
0.5700 0.0000 0.0000
0.0000 0.2503 0.5000
0.2503 0.0000 0.5000
0.7497 0.7497 0.5000
0.0000 0.0000 0.0000
0.3333 0.6667 0.5000
0.6667 0.3333 0.5000
```

Largest 6 diffraction maxima, sorted by position, 2θ from 5° to 70°:
| Position (°2θ) | d [Å] | I_rel |
| --- | --- | --- |
| 20.0 | 4.439 | 26.5 |
| 27.9 | 3.196 | 37.6 |
| 31.5 | 2.838 | 51.3 |
| 34.6 | 2.594 | 100.0 |
| 40.6 | 2.220 | 21.4 |
| 55.8 | 1.646 | 22.5 |